This entry pairs a crystal structure of SbIO3 with its simulated powder diffractogram. Radiation: Cu Kα X-rays. Structure: a DFT-relaxed cell (GGA-PBE, Alexandria).
Lines closer than 0.1° are merged.

Principal peaks in the range 2θ from 10° to 80°, most intense first:
Position (°2θ)	Rel. int.	hkl
23.18	100.0	0 2 1
39.37	59.1	1 1 2
14.53	52.9	0 2 0
25.49	50.9	2 0 0
31.23	42.5	1 3 1
34.71	35.5	2 2 1
43.41	33.5	2 4 1
29.46	31.7	2 2 0
54.66	24.2	3 1 2
34.57	20.9	0 4 1

a b c (Å): 6.9896 12.1923 4.9427
angles (deg): 90.00 90.00 90.00
Space group Cmc2_1 (No. 36)
Inequivalent atoms, fractional coordinates:
Sb1 0.0000 0.1014 0.0000 [4 per cell]
I1 0.0000 0.4371 0.7269 [4 per cell]
O1 0.0000 0.0543 0.3831 [4 per cell]
O2 0.2395 0.1650 0.9291 [8 per cell]



This entry pairs a crystal structure of Tl3InBi3S8 with its simulated powder diffractogram. Radiation: Cu Kα X-rays. Structure: a DFT-relaxed cell (GGA-PBE, Alexandria).
Lines closer than 0.1° are merged.

Principal peaks in the range 2θ from 10° to 80°, most intense first:
Position (°2θ)	Rel. int.	hkl
30.23	100.0	2 2 0
26.64	61.2	2 2 2
41.85	39.1	2 2 4
44.66	34.7	4 2 2
24.41	26.4	0 0 2
51.54	19.4	4 2 4
14.98	16.5	1 1 0
73.34	15.7	6 4 2
49.05	14.5	2 0 4
54.85	12.3	4 0 0

a b c (Å): 8.1116 8.1170 8.6609
angles (deg): 62.19 62.12 60.05
Space group P-1 (No. 2)
Inequivalent atoms, fractional coordinates:
Tl1 0.0000 0.0000 0.0000 [1 per cell]
Tl2 0.0000 0.5000 0.0000 [1 per cell]
Tl3 0.5000 0.0000 0.0000 [1 per cell]
In1 0.0000 0.0000 0.5000 [1 per cell]
Bi1 0.0000 0.5000 0.5000 [1 per cell]
Bi2 0.5000 0.0000 0.5000 [1 per cell]
Bi3 0.5000 0.5000 0.5000 [1 per cell]
S1 0.2277 0.2275 0.2924 [2 per cell]
S2 0.2276 0.7521 0.2925 [2 per cell]
S3 0.2478 0.7725 0.7075 [2 per cell]
S4 0.2599 0.2600 0.7204 [2 per cell]



This entry pairs a crystal structure of NaCdClO with its simulated powder diffractogram. Radiation: Cu Kα X-rays. Structure: a DFT-relaxed cell (GGA-PBE, Alexandria).
Lines closer than 0.1° are merged.

Principal peaks in the range 2θ from 10° to 80°, most intense first:
Position (°2θ)	Rel. int.	hkl
13.63	100.0	0 0 1
27.80	67.7	0 1 1
38.46	65.0	1 0 2
36.05	58.0	1 1 0
36.87	52.3	0 1 2
24.11	47.6	0 1 0
29.82	36.4	1 0 1
45.91	30.7	1 1 2
38.71	30.5	1 1 1
56.30	29.7	1 1 3

a b c (Å): 3.3770 3.6910 6.4948
angles (deg): 90.00 90.00 90.00
Space group Pmm2 (No. 25)
Inequivalent atoms, fractional coordinates:
Na1 0.0000 0.0000 0.0000 [1 per cell]
Cd1 0.0000 0.0000 0.4492 [1 per cell]
Cl1 0.5000 0.5000 0.7314 [1 per cell]
O1 0.5000 0.0000 0.2515 [1 per cell]



This entry pairs a crystal structure of CaScOs2 with its simulated powder diffractogram. Radiation: Cu Kα X-rays. Structure: a DFT-relaxed cell (GGA-PBE, Alexandria).
Lines closer than 0.1° are merged.

Principal peaks in the range 2θ from 10° to 80°, most intense first:
Position (°2θ)	Rel. int.	hkl
39.02	100.0	1 1 2
20.58	72.5	0 1 1
37.61	29.6	0 2 0
35.93	25.6	0 0 4
39.70	22.6	1 0 3
68.81	18.6	1 3 2
55.83	17.2	1 2 3
52.99	16.7	0 2 4
49.40	15.9	0 1 5
30.17	12.6	1 0 1

a b c (Å): 3.1017 4.7837 9.9980
angles (deg): 90.00 90.00 90.00
Space group Imm2 (No. 44)
Inequivalent atoms, fractional coordinates:
Ca1 0.0000 0.0000 0.0000 [2 per cell]
Sc1 0.0000 0.5000 0.2173 [2 per cell]
Os1 0.0000 0.0000 0.4726 [2 per cell]
Os2 0.0000 0.5000 0.7638 [2 per cell]



This entry pairs a crystal structure of Li2UPdS4 with its simulated powder diffractogram. Radiation: Cu Kα X-rays. Structure: a DFT-relaxed cell (GGA-PBE, Alexandria).
Lines closer than 0.1° are merged.

Principal peaks in the range 2θ from 10° to 80°, most intense first:
Position (°2θ)	Rel. int.	hkl
14.41	100.0	0 0 2
32.65	38.0	1 3 1
29.04	28.3	0 0 4
15.70	25.2	0 2 1
35.07	25.1	1 3 2
38.46	23.7	1 1 4
28.68	23.7	1 1 2
24.67	22.9	1 1 0
31.72	22.1	0 4 2
43.61	16.6	1 3 4

a b c (Å): 3.7644 12.7050 12.2975
angles (deg): 90.00 90.00 90.00
Space group Cmcm (No. 63)
Inequivalent atoms, fractional coordinates:
Li1 0.0000 0.1034 0.0548 [8 per cell]
U1 0.0000 0.3996 0.2500 [4 per cell]
Pd1 0.0000 0.3335 0.7500 [4 per cell]
S1 0.0000 0.0492 0.2500 [4 per cell]
S2 0.0000 0.1908 0.6236 [8 per cell]
S3 0.0000 0.5000 0.0000 [4 per cell]



This entry pairs a crystal structure of HgBrF5 with its simulated powder diffractogram. Radiation: Cu Kα X-rays. Structure: a DFT-relaxed cell (GGA-PBE, Alexandria).
Lines closer than 0.1° are merged.

Principal peaks in the range 2θ from 10° to 80°, most intense first:
Position (°2θ)	Rel. int.	hkl
21.34	100.0	1 1 0
23.97	98.7	0 1 2
25.51	78.1	1 -1 0
27.08	65.9	1 0 -2
27.60	47.5	1 0 2
33.81	38.6	0 2 0
16.72	35.2	0 1 0
16.41	33.6	1 0 0
33.18	33.3	2 0 0
43.46	28.2	-2 1 2

a b c (Å): 5.4858 5.5560 8.4485
angles (deg): 75.71 88.59 79.94
Space group P-1 (No. 2)
Inequivalent atoms, fractional coordinates:
Hg1 0.0000 0.0000 0.0000 [1 per cell]
Hg2 0.0000 0.0000 0.5000 [1 per cell]
Br1 0.4473 0.4495 0.2501 [2 per cell]
F1 0.0798 0.0521 0.7579 [2 per cell]
F2 0.1701 0.4970 0.1102 [2 per cell]
F3 0.2593 0.6096 0.5973 [2 per cell]
F4 0.3510 0.1257 0.3659 [2 per cell]
F5 0.4890 0.2380 0.8752 [2 per cell]



This entry pairs a crystal structure of NbB6N6 with its simulated powder diffractogram. Radiation: Cu Kα X-rays. Structure: a DFT-relaxed cell (GGA-PBE, Alexandria).
Lines closer than 0.1° are merged.

Principal peaks in the range 2θ from 10° to 80°, most intense first:
Position (°2θ)	Rel. int.	hkl
19.27	100.0	1 0 0
48.41	63.7	2 1 1
43.96	46.5	2 0 1
39.12	31.6	2 0 0
33.71	29.5	1 1 1
77.56	28.1	3 1 2
27.39	21.0	1 1 0
60.29	21.0	2 2 1
67.45	12.0	3 1 1
74.25	8.6	3 2 0

a b c (Å): 4.6054 4.6054 4.6054
angles (deg): 90.00 90.00 90.00
Space group Pm-3 (No. 200)
Inequivalent atoms, fractional coordinates:
Nb1 0.0000 0.0000 0.0000 [1 per cell]
B1 0.0000 0.2390 0.5000 [6 per cell]
N1 0.0000 0.5000 0.2516 [6 per cell]



This entry pairs a crystal structure of CsCd4Sn4 with its simulated powder diffractogram. Radiation: Cu Kα X-rays. Structure: a DFT-relaxed cell (GGA-PBE, Alexandria).
Lines closer than 0.1° are merged.

Principal peaks in the range 2θ from 10° to 80°, most intense first:
Position (°2θ)	Rel. int.	hkl
28.82	100.0	1 3 0
40.35	77.9	3 0 2
30.55	58.5	1 0 2
55.67	34.6	4 3 2
39.01	28.8	3 3 0
12.78	24.2	1 1 0
36.69	20.7	4 0 0
71.56	20.2	3 6 2
48.47	18.2	1 4 2
56.34	17.2	6 0 0

a b c (Å): 9.7967 9.7967 6.1332
angles (deg): 90.00 90.00 90.00
Space group P4_2/n (No. 86, origin choice 2)
Inequivalent atoms, fractional coordinates:
Cs1 0.2500 0.2500 0.2500 [2 per cell]
Cd1 0.0843 0.6025 0.1181 [8 per cell]
Sn1 0.0993 0.6005 0.6179 [8 per cell]



This entry pairs a crystal structure of Ga2SnF8 with its simulated powder diffractogram. Radiation: Cu Kα X-rays. Structure: a DFT-relaxed cell (GGA-PBE, Alexandria).
Lines closer than 0.1° are merged.

Principal peaks in the range 2θ from 10° to 80°, most intense first:
Position (°2θ)	Rel. int.	hkl
25.63	100.0	1 1 0
27.09	79.3	0 1 1
46.10	33.4	1 2 1
52.67	29.5	2 2 0
55.86	21.6	0 2 2
45.19	20.9	3 0 0
48.72	20.5	1 0 2
34.44	17.6	1 1 1
37.64	16.2	0 2 1
60.22	15.5	4 -1 1

a b c (Å): 6.9506 6.9506 3.9321
angles (deg): 90.00 90.00 120.00
Space group P-3 (No. 147)
Inequivalent atoms, fractional coordinates:
Ga1 0.3333 0.6667 0.2578 [2 per cell]
Sn1 0.0000 0.0000 0.0000 [1 per cell]
F1 0.1807 0.8171 0.2588 [6 per cell]
F2 0.3333 0.6667 0.7572 [2 per cell]



This entry pairs a crystal structure of AlTlCr with its simulated powder diffractogram. Radiation: Cu Kα X-rays. Structure: a DFT-relaxed cell (GGA-PBE, Alexandria).
Lines closer than 0.1° are merged.

Principal peaks in the range 2θ from 10° to 80°, most intense first:
Position (°2θ)	Rel. int.	hkl
14.42	100.0	2 0 0
36.72	71.6	3 1 0
30.17	45.5	1 1 0
42.16	37.5	1 1 -1
29.07	32.8	4 0 0
42.41	32.5	1 1 1
32.78	31.2	2 0 1
32.14	29.3	2 0 -1
28.93	26.7	0 0 1
40.95	23.3	4 0 -1

a b c (Å): 12.2906 3.0526 3.0875
angles (deg): 90.00 91.37 90.00
Space group Cm (No. 8)
Inequivalent atoms, fractional coordinates:
Al1 0.0000 0.0000 0.0000 [2 per cell]
Tl1 0.2882 0.0000 0.0241 [2 per cell]
Cr1 0.1197 0.5000 0.5099 [2 per cell]



This entry pairs a crystal structure of PmGa2Pd4 with its simulated powder diffractogram. Radiation: Cu Kα X-rays. Structure: a DFT-relaxed cell (GGA-PBE, Alexandria).
Lines closer than 0.1° are merged.

Principal peaks in the range 2θ from 10° to 80°, most intense first:
Position (°2θ)	Rel. int.	hkl
33.93	100.0	2 1 1
42.78	48.0	3 1 1
36.04	41.0	3 1 0
39.44	35.3	2 2 1
45.46	27.6	0 0 2
47.57	23.0	4 1 0
63.45	22.5	5 0 1
59.33	19.0	3 1 2
67.91	15.4	4 1 2
76.55	9.2	2 1 3

a b c (Å): 7.8813 7.8813 3.9906
angles (deg): 90.00 90.00 90.00
Space group P4_2/mnm (No. 136)
Inequivalent atoms, fractional coordinates:
Pm1 0.0000 0.0000 0.0000 [2 per cell]
Ga1 0.2216 0.2216 0.5000 [4 per cell]
Pd1 0.0812 0.6677 0.5000 [8 per cell]



This entry pairs a crystal structure of GaI2O2 with its simulated powder diffractogram. Radiation: Cu Kα X-rays. Structure: a DFT-relaxed cell (GGA-PBE, Alexandria).
Lines closer than 0.1° are merged.

Principal peaks in the range 2θ from 10° to 80°, most intense first:
Position (°2θ)	Rel. int.	hkl
21.32	100.0	0 0 2
30.32	62.3	1 1 0
48.85	41.6	2 0 2
37.36	40.9	1 1 2
43.42	29.7	2 0 0
53.87	24.7	1 1 4
67.39	19.3	2 2 2
63.08	18.7	2 2 0
75.67	16.2	3 1 2
71.58	10.7	3 1 0

a b c (Å): 4.1690 4.1690 8.3355
angles (deg): 90.00 90.00 90.00
Space group P4/mmm (No. 123)
Inequivalent atoms, fractional coordinates:
Ga1 0.0000 0.0000 0.0000 [1 per cell]
I1 0.5000 0.5000 0.0000 [1 per cell]
I2 0.5000 0.5000 0.5000 [1 per cell]
O1 0.0000 0.5000 0.5000 [2 per cell]



This entry pairs a crystal structure of In2Si with its simulated powder diffractogram. Radiation: Cu Kα X-rays. Structure: a DFT-relaxed cell (GGA-PBE, Alexandria).
Lines closer than 0.1° are merged.

Principal peaks in the range 2θ from 10° to 80°, most intense first:
Position (°2θ)	Rel. int.	hkl
32.13	100.0	1 -1 1
31.56	51.0	-1 1 1
34.03	48.1	0 1 2
37.12	44.9	0 1 -3
33.03	42.1	1 1 -2
30.86	32.4	1 1 0
30.30	23.7	1 0 1
43.36	19.0	1 2 0
49.85	18.8	2 0 -1
12.52	14.8	0 0 1

a b c (Å): 3.6614 5.5946 7.5251
angles (deg): 105.89 101.78 90.07
Space group P-1 (No. 2)
Inequivalent atoms, fractional coordinates:
In1 0.0690 0.2939 0.1138 [2 per cell]
In2 0.3610 0.1296 0.7279 [2 per cell]
Si1 0.2450 0.6313 0.4865 [2 per cell]



This entry pairs a crystal structure of Pd3S with its simulated powder diffractogram. Radiation: Cu Kα X-rays. Structure: a DFT-relaxed cell (GGA-PBE, Alexandria).
Lines closer than 0.1° are merged.

Principal peaks in the range 2θ from 10° to 80°, most intense first:
Position (°2θ)	Rel. int.	hkl
34.81	100.0	1 1 2
37.14	93.5	2 0 2
42.53	71.8	3 1 1
43.71	63.4	2 2 1
36.02	56.4	0 2 1
39.99	52.9	3 1 0
43.85	42.2	0 2 2
27.99	34.6	0 0 2
71.02	31.0	3 3 2
57.84	27.1	0 0 4

a b c (Å): 7.4380 5.4180 6.3766
angles (deg): 90.00 90.00 90.00
Space group Cmcm (No. 63)
Inequivalent atoms, fractional coordinates:
Pd1 0.0000 0.0000 0.0000 [4 per cell]
Pd2 0.1951 0.3467 0.2500 [8 per cell]
S1 0.0000 0.3099 0.7500 [4 per cell]